No. 1
Structure and calculated X-ray diffraction stick pattern of LaSeS (a cell relaxed with GGA-PBE; copper Kα).

Structure:
a = 4.1249 Å, b = 4.1249 Å, c = 17.0423 Å
α = 90.00°, β = 90.00°, γ = 90.00°
Space group I4/mmm (No. 139)
Unique sites:
La 0.0000 0.0000 0.1444 x4
Se 0.0000 0.5000 0.0000 x4
S 0.0000 0.0000 0.3163 x4

Main lines, in order of falling intensity (10 to 80 degrees two-theta):
h k l	d [Å]	I/Imax
1 1 4	2.407	100
1 1 2	2.760	65
1 0 3	3.338	50
2 0 0	2.062	47
1 0 1	4.009	45
1 1 10	1.471	40
0 0 6	2.840	38
1 0 7	2.097	33
2 0 6	1.669	30
3 1 4	1.247	24

***

No. 2
Structure and calculated X-ray diffraction stick pattern of La6SeS5 (a cell relaxed with GGA-PBE; copper Kα).

Structure:
a = 7.2415 Å, b = 12.5594 Å, c = 7.2498 Å
α = 90.00°, β = 109.55°, γ = 90.00°
Space group C2/m (No. 12)
Unique sites:
La 0.2447 0.0000 0.2554 x4
La 0.2445 0.1703 0.7438 x8
Se 0.0000 0.5000 0.0000 x2
S 0.0000 0.0000 0.5000 x2
S 0.0000 0.1668 0.0000 x4
S 0.0000 0.3361 0.5000 x4

Main lines, in order of falling intensity (10 to 80 degrees two-theta):
h k l	d [Å]	I/Imax
1 3 1	2.958	100
2 0 2	2.092	73
2 0 0	3.416	54
5 3 -3	1.323	27
2 6 -2	1.709	19
4 6 -4	1.208	18
2 6 0	1.785	16
4 0 -4	1.479	12
4 0 -2	1.783	11
4 6 -2	1.358	7

***

No. 3
Structure and calculated X-ray diffraction stick pattern of La4Se7S (a cell relaxed with GGA-PBE; copper Kα).

Structure:
a = 4.2485 Å, b = 8.5148 Å, c = 8.5870 Å
α = 89.77°, β = 89.99°, γ = 89.94°
Space group P1 (No. 1)
Unique sites:
La 0.0000 0.0000 0.0000 x1
La 0.0460 0.4999 0.9900 x1
La 0.4923 0.2523 0.5530 x1
La 0.5586 0.7405 0.5538 x1
Se 0.0170 0.9991 0.6403 x1
Se 0.0988 0.7537 0.2768 x1
Se 0.4607 0.9900 0.2747 x1
Se 0.5172 0.2485 0.9092 x1
Se 0.5322 0.7477 0.9093 x1
Se 0.5919 0.4923 0.2710 x1
Se 0.9546 0.2569 0.2771 x1
S 0.0352 0.4997 0.6394 x1

Main lines, in order of falling intensity (10 to 80 degrees two-theta):
h k l	d [Å]	I/Imax
1 -2 1	2.837	100
0 4 0	2.127	100
0 2 1	3.812	94
1 2 2	2.466	94
1 2 -2	2.460	92
0 0 3	2.862	72
0 2 -3	2.372	49
1 2 1	2.843	46
1 0 3	2.377	45
0 4 -3	1.705	37

***

No. 4
Structure and calculated X-ray diffraction stick pattern of LaSeS (a cell relaxed with GGA-PBE; copper Kα).

Structure:
a = 14.6516 Å, b = 6.7387 Å, c = 6.7232 Å
α = 90.00°, β = 90.00°, γ = 90.00°
Space group Cmce (No. 64)
Unique sites:
La 0.1479 0.0000 0.0000 x8
Se 0.0000 0.1283 0.3710 x8
S 0.2500 0.2459 0.7500 x8

Main lines, in order of falling intensity (10 to 80 degrees two-theta):
h k l	d [Å]	I/Imax
3 1 1	3.409	100
4 0 2	2.478	35
1 1 3	2.106	29
0 2 2	2.380	19
7 1 3	1.492	19
0 2 0	3.366	17
1 1 1	4.527	14
6 2 0	1.976	14
3 3 1	1.951	11
4 2 4	1.392	10

***

No. 5
Structure and calculated X-ray diffraction stick pattern of La3Se2S (a cell relaxed with GGA-PBE; copper Kα).

Structure:
a = 4.2657 Å, b = 4.2657 Å, c = 18.1026 Å
α = 90.00°, β = 90.00°, γ = 90.00°
Space group I4/mmm (No. 139)
Unique sites:
La 0.0000 0.0000 0.0000 x2
La 0.0000 0.0000 0.3392 x4
Se 0.0000 0.0000 0.1686 x4
S 0.0000 0.0000 0.5000 x2

Main lines, in order of falling intensity (10 to 80 degrees two-theta):
h k l	d [Å]	I/Imax
1 1 0	3.017	100
2 0 0	2.133	74
3 1 0	1.349	32
2 0 6	1.742	26
1 0 3	3.483	24
3 1 6	1.232	24
2 2 0	1.508	12
2 1 3	1.819	12
3 0 3	1.384	5
1 0 5	2.760	3

***

No. 6
Structure and calculated X-ray diffraction stick pattern of LaTbSe2S (a cell relaxed with GGA-PBE; copper Kα).

Structure:
a = 4.1271 Å, b = 13.3446 Å, c = 9.7400 Å
α = 90.00°, β = 90.00°, γ = 90.00°
Space group Cmcm (No. 63)
Unique sites:
La 0.0000 0.2363 0.2500 x4
Tb 0.0000 0.5000 0.0000 x4
Se 0.0000 0.1440 0.5636 x8
S 0.0000 0.4114 0.7500 x4

Main lines, in order of falling intensity (10 to 80 degrees two-theta):
h k l	d [Å]	I/Imax
0 2 2	3.934	100
1 3 0	3.025	84
1 1 3	2.506	50
1 3 2	2.570	50
1 3 1	2.889	49
0 6 2	2.023	35
1 5 2	2.036	34
2 0 0	2.064	30
0 2 3	2.919	27
2 6 2	1.445	23

***

No. 7
Structure and calculated X-ray diffraction stick pattern of La2Tb2Se2S3 (a cell relaxed with GGA-PBE; copper Kα).

Structure:
a = 5.4317 Å, b = 5.4317 Å, c = 15.5030 Å
α = 90.00°, β = 90.00°, γ = 90.00°
Space group I4/mmm (No. 139)
Unique sites:
La 0.0000 0.0000 0.1993 x4
Tb 0.0000 0.5000 0.0000 x4
Se 0.0000 0.0000 0.3988 x4
S 0.0000 0.0000 0.0000 x2
S 0.0000 0.5000 0.2500 x4

Main lines, in order of falling intensity (10 to 80 degrees two-theta):
h k l	d [Å]	I/Imax
2 0 0	2.716	100
1 1 2	3.441	76
1 0 5	2.693	59
1 1 4	2.728	45
2 1 5	1.912	43
2 2 0	1.920	36
0 0 4	3.876	24
3 1 2	1.677	21
2 0 4	2.224	20
4 2 0	1.215	19

***

No. 8
Structure and calculated X-ray diffraction stick pattern of La8Te4SeS3 (a cell relaxed with GGA-PBE; copper Kα).

Structure:
a = 8.7096 Å, b = 8.7096 Å, c = 21.9092 Å
α = 90.00°, β = 90.00°, γ = 120.00°
Space group R-3m (No. 166, hexagonal axes)
Unique sites:
La 0.0000 0.0000 0.2368 x6
La 0.0078 0.5039 0.7621 x18
Te 0.0000 0.0000 0.0000 x3
Te 0.0000 0.5000 0.0000 x9
Se 0.0000 0.0000 0.5000 x3
S 0.0000 0.5000 0.5000 x9

Main lines, in order of falling intensity (10 to 80 degrees two-theta):
h k l	d [Å]	I/Imax
0 2 4	3.106	100
2 2 0	2.177	39
2 0 8	2.216	32
4 0 4	1.783	20
2 4 4	1.379	16
2 0 5	2.858	14
2 2 9	1.623	10
2 2 12	1.399	10
0 4 8	1.553	10
4 2 8	1.264	10